(1)
For KTiAs2O8, a crystal structure in Alexandria, relaxed with GGA-PBE gives the computed X-ray powder pattern in this record (copper Kα).
Kinematic intensities with the Lorentz-polarization factor, no thermal factor.

Peak list (10 most intense, 2θ = 10–80°, most intense first)
| 2θ/deg | Rel. int. |
| --- | --- |
| 24.5 | 100 |
| 36.2 | 31 |
| 33.6 | 18 |
| 58.3 | 15 |
| 21.7 | 15 |
| 63.4 | 14 |
| 44.1 | 14 |
| 50.2 | 10 |
| 29.5 | 10 |
| 65.0 | 10 |

```
KTiAs2O8
1.0
2.4839 1.4341 9.0863
-2.4839 1.4341 9.0863
0.0000 -2.8682 9.0863
K Ti As O
1 1 2 8
direct
0.0000 0.0000 0.0000
0.5000 0.5000 0.5000
0.2352 0.2352 0.2352
0.7648 0.7648 0.7648
0.1328 0.4847 0.7450
0.2550 0.5153 0.8672
0.2967 0.2967 0.2967
0.4847 0.7450 0.1328
0.5153 0.8672 0.2550
0.7033 0.7033 0.7033
0.7450 0.1328 0.4847
0.8672 0.2550 0.5153
```

(2)
For Ba5Tl2O2, a crystal structure in Alexandria, relaxed with GGA-PBE gives the computed X-ray powder pattern in this record (copper Kα).
Kinematic intensities with the Lorentz-polarization factor, no thermal factor.

Peak list (10 most intense, 2θ = 10–80°, most intense first)
| 2θ/deg | Rel. int. |
| --- | --- |
| 27.7 | 100 |
| 29.8 | 51 |
| 28.2 | 50 |
| 25.9 | 32 |
| 32.0 | 25 |
| 25.4 | 24 |
| 39.8 | 20 |
| 51.6 | 18 |
| 57.2 | 17 |
| 46.4 | 16 |

```
Ba5Tl2O2
1.0
7.3131 -2.9994 0.0000
7.3131 2.9994 0.0000
-1.0165 0.0000 7.4265
Ba Tl O
5 2 2
direct
0.0000 0.0000 0.0000
0.1551 0.1551 0.5654
0.3296 0.3296 0.0695
0.6704 0.6704 0.9305
0.8449 0.8449 0.4346
0.4346 0.4346 0.6467
0.5654 0.5654 0.3533
0.1676 0.1676 0.9010
0.8324 0.8324 0.0990
```

(3)
For SiB2P, a crystal structure in Alexandria, relaxed with GGA-PBE gives the computed X-ray powder pattern in this record (copper Kα).
Kinematic intensities with the Lorentz-polarization factor, no thermal factor.

Peak list (10 most intense, 2θ = 10–80°, most intense first)
| 2θ/deg | Rel. int. |
| --- | --- |
| 36.3 | 100 |
| 32.3 | 93 |
| 60.2 | 41 |
| 57.7 | 33 |
| 67.7 | 31 |
| 46.4 | 21 |
| 70.1 | 14 |
| 77.1 | 5 |
| 76.9 | 3 |
| 67.6 | 3 |

```
SiB2P
1.0
3.1932 0.0000 0.0000
-1.5966 2.7654 0.0000
0.0000 0.0000 5.5449
Si B P
1 2 1
direct
0.0000 0.0000 0.0000
0.0000 0.0000 0.6331
0.6667 0.3333 0.1632
0.6667 0.3333 0.5110
```

(4)
For CeSmBr5, a crystal structure in Alexandria, relaxed with GGA-PBE gives the computed X-ray powder pattern in this record (copper Kα).
Kinematic intensities with the Lorentz-polarization factor, no thermal factor.

Peak list (10 most intense, 2θ = 10–80°, most intense first)
| 2θ/deg | Rel. int. |
| --- | --- |
| 12.2 | 100 |
| 30.6 | 40 |
| 27.6 | 35 |
| 32.9 | 34 |
| 30.8 | 27 |
| 34.0 | 27 |
| 44.0 | 26 |
| 33.2 | 26 |
| 41.1 | 25 |
| 29.6 | 20 |

```
CeSmBr5
1.0
8.3218 0.0000 0.0000
0.0000 4.1160 0.0000
-0.5477 0.0000 13.7497
Ce Sm Br
2 2 10
direct
0.0872 0.2500 0.1546
0.9128 0.7500 0.8454
0.4204 0.7500 0.3454
0.5796 0.2500 0.6546
0.0624 0.7500 0.3161
0.1472 0.2500 0.9304
0.3173 0.2500 0.4854
0.3506 0.7500 0.1308
0.3571 0.7500 0.7140
0.6429 0.2500 0.2860
0.6494 0.2500 0.8692
0.6827 0.7500 0.5146
0.8528 0.7500 0.0696
0.9376 0.2500 0.6839
```

(5)
For ZnCu6Au8, a crystal structure in Alexandria, relaxed with GGA-PBE gives the computed X-ray powder pattern in this record (copper Kα).
Kinematic intensities with the Lorentz-polarization factor, no thermal factor.

Peak list (10 most intense, 2θ = 10–80°, most intense first)
| 2θ/deg | Rel. int. |
| --- | --- |
| 41.9 | 100 |
| 42.3 | 92 |
| 29.4 | 88 |
| 77.1 | 33 |
| 61.1 | 32 |
| 52.4 | 19 |
| 69.5 | 17 |
| 68.9 | 16 |
| 77.4 | 15 |
| 76.2 | 15 |

```
ZnCu6Au8
1.0
3.6990 2.1356 5.3117
-3.6990 2.1356 5.3117
0.0000 -4.2713 5.3117
Zn Cu Au
1 6 8
direct
0.0000 0.0000 0.0000
0.0505 0.7270 0.3734
0.2730 0.6266 0.9495
0.3734 0.0505 0.7270
0.6266 0.9495 0.2730
0.7270 0.3734 0.0505
0.9495 0.2730 0.6266
0.1152 0.4543 0.7809
0.2191 0.8848 0.5457
0.3341 0.3341 0.3341
0.4543 0.7809 0.1152
0.5457 0.2191 0.8848
0.6659 0.6659 0.6659
0.7809 0.1152 0.4543
0.8848 0.5457 0.2191
```

(6)
For KLiGaTe2, a crystal structure in Alexandria, relaxed with GGA-PBE gives the computed X-ray powder pattern in this record (copper Kα).
Kinematic intensities with the Lorentz-polarization factor, no thermal factor.

Peak list (10 most intense, 2θ = 10–80°, most intense first)
| 2θ/deg | Rel. int. |
| --- | --- |
| 26.3 | 100 |
| 20.6 | 49 |
| 30.5 | 37 |
| 34.6 | 33 |
| 35.2 | 32 |
| 46.7 | 25 |
| 25.5 | 18 |
| 45.4 | 16 |
| 51.7 | 13 |
| 56.9 | 12 |

```
KLiGaTe2
1.0
2.9326 -7.7569 0.0000
2.9326 7.7569 0.0000
0.0000 0.0000 6.9818
K Li Ga Te
2 2 2 4
direct
0.2500 0.7500 0.7742
0.7500 0.2500 0.2258
0.2500 0.2500 0.5000
0.7500 0.7500 0.5000
0.0000 0.0000 0.0000
0.5000 0.5000 0.0000
0.1207 0.8793 0.2769
0.3793 0.6207 0.2769
0.6207 0.3793 0.7231
0.8793 0.1207 0.7231
```

Repeat the third record exactly.
For SiB2P, a crystal structure in Alexandria, relaxed with GGA-PBE gives the computed X-ray powder pattern in this record (copper Kα).
Kinematic intensities with the Lorentz-polarization factor, no thermal factor.

Peak list (10 most intense, 2θ = 10–80°, most intense first)
| 2θ/deg | Rel. int. |
| --- | --- |
| 36.3 | 100 |
| 32.3 | 93 |
| 60.2 | 41 |
| 57.7 | 33 |
| 67.7 | 31 |
| 46.4 | 21 |
| 70.1 | 14 |
| 77.1 | 5 |
| 76.9 | 3 |
| 67.6 | 3 |

```
SiB2P
1.0
3.1932 0.0000 0.0000
-1.5966 2.7654 0.0000
0.0000 0.0000 5.5449
Si B P
1 2 1
direct
0.0000 0.0000 0.0000
0.0000 0.0000 0.6331
0.6667 0.3333 0.1632
0.6667 0.3333 0.5110
```

Question: Which formula does entry 3 have?
Answer: SiB2P

Question: What is the formula in the sixth record?
Answer: KLiGaTe2